The following is a calculated powder X-ray diffraction pattern of Tb2SmEr. It was derived from DFT lattice parameters and positions (PBE), using CuKα.
Intensities are scaled so that the largest is 100.

Crystal structure
Lattice parameters (Å, degrees): 5.6699 7.2815 6.2904 90.00 90.00 90.00
Positions (direct):
Tb 0.2500 0.0010 0.1662
Tb 0.2500 0.4990 0.1662
Tb 0.7500 0.5010 0.8338
Tb 0.7500 0.9990 0.8338
Sm 0.2500 0.2500 0.6656
Sm 0.7500 0.7500 0.3344
Er 0.2500 0.7500 0.6679
Er 0.7500 0.2500 0.3321

Largest 10 diffraction maxima, most intense first, 10° ≤ 2θ ≤ 90°:
index  2theta  I/Imax
1 0 2  32.52  100.0
2 0 0  31.56  24.1
0 2 1  28.34  23.8
2 4 0  60.49  22.7
3 0 2  56.81  20.5
0 4 0  50.18  19.9
2 2 1  42.93  15.6
1 4 2  61.04  11.0
1 2 5  82.93  9.4
4 4 0  87.20  8.4



The following is a calculated powder X-ray diffraction pattern of Nb3InRh6. It was derived from DFT lattice parameters and positions (PBE), using CuKα.
Intensities are scaled so that the largest is 100.

Crystal structure
Lattice parameters (Å, degrees): 7.5917 4.5468 9.8742 90.00 111.08 90.00
Positions (direct):
Nb 0.0755 0.2500 0.2137
Nb 0.3075 0.2500 0.0220
Nb 0.3399 0.7500 0.3699
Nb 0.6601 0.2500 0.6301
Nb 0.6925 0.7500 0.9780
Nb 0.9245 0.7500 0.7863
In 0.1247 0.7500 0.5772
In 0.8753 0.2500 0.4228
Rh 0.0881 0.2500 0.7343
Rh 0.1137 0.7500 0.0729
Rh 0.2914 0.2500 0.5213
Rh 0.3060 0.7500 0.8722
Rh 0.4850 0.2500 0.3229
Rh 0.4905 0.2500 0.8277
Rh 0.5095 0.7500 0.1723
Rh 0.5150 0.7500 0.6771
Rh 0.6940 0.2500 0.1278
Rh 0.7086 0.7500 0.4787
Rh 0.8863 0.2500 0.9271
Rh 0.9119 0.7500 0.2657

Largest 10 diffraction maxima, most intense first, 10° ≤ 2θ ≤ 90°:
index  2theta  I/Imax
3 1 -2  41.24  100.0
1 1 -4  41.65  96.1
0 2 0  39.64  67.2
2 1 2  42.32  51.4
2 0 2  37.17  41.3
2 2 2  55.47  25.3
3 3 -2  73.03  17.7
1 3 -4  73.31  17.7
4 2 -6  78.39  15.4
4 1 4  82.54  13.7